Theoretical powder XRD pattern
Compound: Na2AlNiF7
Radiation: copper Kα
Structure: DFT lattice parameters and positions (GGA+U)

Top 10 peaks for 2θ from 10° to 90°, sorted by position:
2theta, Rel. int.
14.8, 994
29.0, 278
29.1, 449
29.8, 1000
30.6, 918
45.4, 298
50.5, 886
51.2, 218
59.0, 433
60.4, 217

Cell and atoms:
a = 7.232 Å, b = 7.232 Å, c = 7.232 Å
α = 120.85°, β = 90.77°, γ = 118.27°
Fractional positions:
Na: 0.000 0.000 0.000
Na: 0.500 0.000 0.000
Na: 0.500 0.000 0.500
Na: 0.500 0.500 0.500
Al: 0.000 0.500 0.500
Al: 0.500 0.500 0.000
Ni: 0.000 0.000 0.500
Ni: 0.000 0.500 0.000
F: 0.046 0.248 0.426
F: 0.046 0.621 0.799
F: 0.121 0.871 0.250
F: 0.306 0.721 0.585
F: 0.322 0.248 0.701
F: 0.322 0.621 0.074
F: 0.363 0.279 0.085
F: 0.637 0.721 0.915
F: 0.678 0.379 0.926
F: 0.678 0.752 0.299
F: 0.694 0.279 0.415
F: 0.879 0.129 0.750
F: 0.954 0.379 0.201
F: 0.954 0.752 0.574